The following is a theoretical X-ray powder pattern of K3Mn2Br2F5. It was derived from a structure optimized by DFT (PBE+U), using Cu Kα (λ = 1.5418 Å).
Neutral-atom scattering factors, no anomalous dispersion.

Largest 10 diffraction maxima, by intensity, 15 to 90 degrees two-theta:
- 28.78°, d = 3.102 Å, I 100
- 32.34°, d = 2.768 Å, I 85
- 41.16°, d = 2.193 Å, I 77
- 36.11°, d = 2.487 Å, I 38
- 53.29°, d = 1.719 Å, I 38
- 20.56°, d = 4.320 Å, I 34
- 59.62°, d = 1.551 Å, I 23
- 22.92°, d = 3.881 Å, I 22
- 28.59°, d = 3.123 Å, I 22
- 50.88°, d = 1.795 Å, I 17

Structural model:
Unit cell a=12.870 b=12.870 c=12.870 alpha=160.38 beta=160.38 gamma=27.89
Fractional coordinates of all 12 atoms:
K 0.000 0.000 0.000
K 0.163 0.163 0.000
K 0.837 0.837 0.000
Mn 0.416 0.416 0.000
Mn 0.584 0.584 0.000
Br 0.308 0.308 0.000
Br 0.692 0.692 0.000
F 0.082 0.582 0.500
F 0.418 0.918 0.500
F 0.500 0.500 0.000
F 0.582 0.082 0.500
F 0.918 0.418 0.500